Diffraction record for Li3Ti3VO8. The PXRD pattern is theoretical, not measured: it uses the PBE+U geometry in the Materials Project and Cu Kα.

Largest 12 diffraction maxima, by intensity, 10° ≤ 2θ ≤ 90°:
| d [Å] | I (rel.) |
| --- | --- |
| 4.973 | 100.0 |
| 2.111 | 76.3 |
| 2.523 | 35.0 |
| 1.507 | 20.4 |
| 1.478 | 20.1 |
| 1.638 | 13.7 |
| 1.417 | 12.4 |
| 1.943 | 10.7 |
| 1.211 | 9.0 |
| 2.421 | 6.3 |
| 1.198 | 4.9 |
| 1.275 | 3.3 |

Atomic structure:
abc: 5.9151 6.0316 8.4417
angles: 88.37 90.00 89.99
Fractional coordinates of all 30 atoms:
Li: 0.0000 0.0000 0.0000
Li: 0.9997 0.4957 0.5054
Li: 0.2504 0.7485 0.2523
Li: 0.5008 0.9999 0.9997
Li: 0.5010 0.4957 0.5052
Li: 0.7505 0.2498 0.7529
Ti: 0.2502 0.7391 0.7571
Ti: 0.5020 0.9947 0.5073
Ti: 0.5028 0.5010 0.0004
Ti: 0.7502 0.2546 0.2478
Ti: 0.9978 0.9950 0.5065
Ti: 0.9989 0.5014 0.9995
V: 0.2504 0.2490 0.2537
V: 0.7504 0.7474 0.7519
O: 0.0060 0.5112 0.7606
O: 0.0072 0.9817 0.7392
O: 0.2502 0.2239 0.4929
O: 0.2502 0.7602 0.5088
O: 0.2506 0.2722 0.0140
O: 0.2507 0.7418 0.9978
O: 0.4941 0.5120 0.7609
O: 0.4941 0.9824 0.7394
O: 0.5009 0.4781 0.2442
O: 0.5025 0.0222 0.2654
O: 0.7502 0.2330 0.4970
O: 0.7501 0.7680 0.5060
O: 0.7507 0.2569 0.0063
O: 0.7506 0.7281 0.9981
O: 0.9988 0.0216 0.2654
O: 0.9991 0.4774 0.2441



Diffraction record for Li2TiVO4. The PXRD pattern is theoretical, not measured: it uses the PBE+U geometry in the Materials Project and Cu Kα.

Largest 12 diffraction maxima, by intensity, 10° ≤ 2θ ≤ 90°:
| d [Å] | I (rel.) |
| --- | --- |
| 2.118 | 100.0 |
| 4.903 | 86.8 |
| 4.872 | 74.4 |
| 1.497 | 53.2 |
| 2.112 | 50.0 |
| 2.558 | 32.6 |
| 2.550 | 23.6 |
| 1.503 | 13.4 |
| 1.489 | 13.4 |
| 1.218 | 11.8 |
| 1.226 | 11.7 |
| 1.630 | 11.5 |

Atomic structure:
abc: 5.9918 5.9918 8.4504
angles: 90.39 90.39 90.00
Fractional coordinates of all 32 atoms:
Li: 0.1235 0.6237 0.6264
Li: 0.1250 0.1250 0.1243
Li: 0.3701 0.3760 0.3741
Li: 0.3763 0.8765 0.3736
Li: 0.6236 0.1256 0.1242
Li: 0.6240 0.6299 0.6259
Li: 0.8744 0.3764 0.8758
Li: 0.8750 0.8750 0.8757
Ti: 0.1302 0.1230 0.6301
Ti: 0.3752 0.3823 0.8786
Ti: 0.6177 0.6248 0.1214
Ti: 0.8770 0.8697 0.3699
V: 0.1200 0.6232 0.1286
V: 0.3768 0.8800 0.8714
V: 0.6283 0.1328 0.6213
V: 0.8672 0.3717 0.3787
O: 0.1032 0.6312 0.3779
O: 0.1097 0.1149 0.3843
O: 0.1306 0.1341 0.8660
O: 0.1418 0.6132 0.8770
O: 0.3649 0.3649 0.6312
O: 0.3688 0.8968 0.6221
O: 0.3789 0.3808 0.1193
O: 0.3868 0.8582 0.1230
O: 0.6100 0.1450 0.8680
O: 0.6192 0.6211 0.8807
O: 0.6351 0.6351 0.3688
O: 0.6407 0.1107 0.3770
O: 0.8550 0.3900 0.1320
O: 0.8659 0.8694 0.1340
O: 0.8851 0.8903 0.6157
O: 0.8893 0.3593 0.6230